This entry pairs a crystal structure of NbFeSnHg with its computed powder X-ray diffraction pattern. Radiation: λ = 1.5418 Å (Cu Kα). Structure: a structure optimized by DFT (PBE).
Neutral-atom scattering factors, no anomalous dispersion.

The 6 most intense peaks (15 to 90 degrees two-theta), in order of falling intensity:
2θ (°), Rel. int.
38.6, 100
69.9, 35
23.4, 21
55.8, 17
45.6, 12
82.8, 11

Crystal structure
```
data_NbFeSnHg
_chemical_formula_sum 'Nb4 Fe4 Sn4 Hg4'
_symmetry_space_group_name_H-M 'P 1'
_symmetry_Int_Tables_number 1
_symmetry_space_group_name_Hall 'P 1'
_cell_length_a 6.5920
_cell_length_b 6.5920
_cell_length_c 6.5920
_cell_angle_alpha 90.00
_cell_angle_beta 90.00
_cell_angle_gamma 90.00
loop_
_atom_site_label
_atom_site_type_symbol
_atom_site_fract_x
_atom_site_fract_y
_atom_site_fract_z
_atom_site_occupancy
Nb1 Nb 0.0000 0.0000 0.0000 1
Nb2 Nb 0.0000 0.5000 0.5000 1
Nb3 Nb 0.5000 0.0000 0.5000 1
Nb4 Nb 0.5000 0.5000 0.0000 1
Fe1 Fe 0.2500 0.2500 0.7500 1
Fe2 Fe 0.2500 0.7500 0.2500 1
Fe3 Fe 0.7500 0.2500 0.2500 1
Fe4 Fe 0.7500 0.7500 0.7500 1
Sn1 Sn 0.0000 0.0000 0.5000 1
Sn2 Sn 0.0000 0.5000 0.0000 1
Sn3 Sn 0.5000 0.0000 0.0000 1
Sn4 Sn 0.5000 0.5000 0.5000 1
Hg1 Hg 0.2500 0.2500 0.2500 1
Hg2 Hg 0.2500 0.7500 0.7500 1
Hg3 Hg 0.7500 0.2500 0.7500 1
Hg4 Hg 0.7500 0.7500 0.2500 1
```